# KMg6SiO8
Theoretical XRD peak list, Cu Kα. Input: a cell relaxed with GGA-PBE.
Lines closer than 0.1° are merged.

Peak list (10 most intense, 2θ = 10–90°, by angle)
hkl	2theta	I_rel
1 1 2	35.2	20
2 0 0	39.6	100
1 1 3	42.9	2
0 0 4	43.2	34
2 2 0	57.2	29
2 0 4	60.0	45
3 1 2	69.0	9
1 1 6	74.0	5
2 2 4	74.3	22
4 0 0	85.3	8

```
data_KMg6SiO8
_symmetry_space_group_name_H-M 'P 4/m m m'
_symmetry_Int_Tables_number 123
_symmetry_space_group_name_Hall '-P 4 2'
_cell_length_a 4.5516
_cell_length_b 4.5516
_cell_length_c 8.3826
_cell_angle_alpha 90.00
_cell_angle_beta 90.00
_cell_angle_gamma 90.00
loop_
_atom_site_label
_atom_site_fract_x
_atom_site_fract_y
_atom_site_fract_z
K1 0.0000 0.0000 0.0000
Mg1 0.0000 0.5000 0.2465
Mg2 0.5000 0.5000 0.0000
Mg3 0.5000 0.5000 0.5000
Si1 0.0000 0.0000 0.5000
O1 0.0000 0.0000 0.2924
O2 0.0000 0.5000 0.0000
O3 0.0000 0.5000 0.5000
O4 0.5000 0.5000 0.2522
```